Record 1
This entry pairs a crystal structure of Ba3UAg2Se6 with its theoretical powder diffraction line list. Radiation: copper Kα. Structure: a crystal structure in Alexandria, relaxed with GGA-PBE.
Kinematic intensities with the Lorentz-polarization factor, no thermal factor.

The 8 most intense peaks (10° ≤ 2θ ≤ 80°), sorted by position:
2θ (°)  I_rel  hkl
10.8  29  0 0 1
23.2  95  1 1 0
25.6  59  0 1 2
29.1  38  2 0 1
32.0  56  1 1 2
34.8  100  2 0 2
42.3  31  1 2 2
47.5  52  2 2 0

Structure:
Cell: 7.6581 7.6581 8.1738 Å, 90.00 90.00 120.00°
Space group P-3m1 (No. 164)
Unique sites:
Ba 0.0000 0.0000 0.0000 (multiplicity 1)
Ba 0.3333 0.6667 0.6081 (multiplicity 2)
U 0.0000 0.0000 0.5000 (multiplicity 1)
Ag 0.3333 0.6667 0.1199 (multiplicity 2)
Se 0.1664 0.3327 0.2987 (multiplicity 6)

***

Record 2
This entry pairs a crystal structure of PmCuAs2 with its theoretical powder diffraction line list. Radiation: copper Kα. Structure: a crystal structure in Alexandria, relaxed with GGA-PBE.
Kinematic intensities with the Lorentz-polarization factor, no thermal factor.

The 8 most intense peaks (10° ≤ 2θ ≤ 80°), sorted by position:
2θ (°)  I_rel  hkl
24.1  20  1 0 1
28.6  17  1 0 2
35.0  30  1 0 3
35.7  14  0 0 4
36.6  100  1 1 2
45.6  36  2 0 0
50.8  18  1 0 5
78.4  21  3 1 2

Structure:
Cell: 3.9771 3.9771 10.0635 Å, 90.00 90.00 90.00°
Space group P4/nmm (No. 129, origin choice 2)
Unique sites:
Pm 0.2500 0.2500 0.2383 (multiplicity 2)
Cu 0.2500 0.7500 0.5000 (multiplicity 2)
As 0.2500 0.2500 0.6527 (multiplicity 2)
As 0.2500 0.7500 0.0000 (multiplicity 2)